No. 1
# CdHg4H4
Calculated X-ray powder pattern, Cu Ka. Input: the GGA-PBE geometry in Alexandria.
Lines closer than 0.1° are merged.

a b c (Å): 6.067 6.067 6.067
angles (deg): 104.14 104.14 120.77
Positions (direct):
1 Cd 0.000 0.000 0.000
2 Hg 0.229 0.574 0.803
3 Hg 0.426 0.229 0.656
4 Hg 0.574 0.771 0.344
5 Hg 0.771 0.426 0.197
6 H 0.039 0.746 0.785
7 H 0.254 0.039 0.293
8 H 0.746 0.961 0.707
9 H 0.961 0.254 0.215

The 10 most intense peaks (5° ≤ 2θ ≤ 70°), sorted by position:
| 2θ/deg | d [Å] | intensity |
| --- | --- | --- |
| 19.0 | 4.673 | 14 |
| 29.8 | 2.998 | 31 |
| 30.7 | 2.915 | 100 |
| 38.2 | 2.359 | 28 |
| 49.1 | 1.854 | 27 |
| 52.9 | 1.732 | 8 |
| 53.4 | 1.715 | 21 |
| 55.1 | 1.668 | 7 |
| 63.9 | 1.458 | 8 |
| 64.4 | 1.448 | 17 |

=====

No. 2
# Na4In3Hg
Calculated X-ray powder pattern, Cu Ka. Input: the GGA-PBE geometry in Alexandria.
Lines closer than 0.1° are merged.

a b c (Å): 3.462 5.107 12.471
angles (deg): 90.00 90.00 90.00
Positions (direct):
1 Na 0.000 0.000 0.000
2 Na 0.000 0.500 0.334
3 Na 0.500 0.000 0.494
4 Na 0.500 0.500 0.836
5 In 0.000 0.000 0.729
6 In 0.000 0.500 0.601
7 In 0.500 0.500 0.105
8 Hg 0.500 0.000 0.234

The 10 most intense peaks (5° ≤ 2θ ≤ 70°), sorted by position:
| 2θ/deg | d [Å] | intensity |
| --- | --- | --- |
| 14.2 | 6.235 | 87 |
| 22.5 | 3.951 | 57 |
| 26.7 | 3.336 | 77 |
| 32.0 | 2.793 | 45 |
| 33.7 | 2.661 | 100 |
| 35.1 | 2.554 | 38 |
| 38.1 | 2.360 | 92 |
| 44.7 | 2.027 | 48 |
| 58.2 | 1.585 | 30 |
| 65.1 | 1.433 | 28 |